# Ba3LaRu
Theoretical powder diffraction line list, Cu Kα (λ = 1.5418 Å). Input: a structure optimized by DFT (PBE).
Peak positions follow from Bragg's law for the DFT cell and can differ from measured ones.

Cell and atoms:
a b c (Å): 6.005 6.005 6.005
angles (deg): 90.00 90.00 90.00
Fractional coordinates of all 5 atoms:
1 Ba 0.000 0.000 0.500
2 Ba 0.000 0.500 0.000
3 Ba 0.500 0.000 0.000
4 La 0.500 0.500 0.500
5 Ru 0.000 0.000 0.000

Top 10 peaks for 2θ = 15–90°, by intensity:
two_theta, I (rel.), h k l
29.8, 100, 2 0 0
25.7, 88, 1 1 1
42.6, 74, 2 2 0
50.4, 41, 3 1 1
70.1, 34, 4 2 0
52.8, 26, 2 2 2
77.9, 25, 4 2 2
68.1, 17, 3 3 1
20.9, 14, 1 1 0
83.7, 13, 5 1 1